For MgFe8O14F2, a DFT-relaxed cell (GGA+U, the Materials Project) gives the theoretical X-ray diffraction stick pattern in this record (Cu Kα).
Lines closer than 0.1° are merged.

Largest 10 diffraction maxima, most intense first, 2θ = 10–90°:
(1 1 0), 21.94°, 4.052 Å, intensity 100; (1 -1 0), 28.14°, 3.171 Å, intensity 91; (0 1 1), 18.93°, 4.687 Å, intensity 30; (1 0 4), 33.98°, 2.639 Å, intensity 23; (1 2 1), 36.42°, 2.467 Å, intensity 22; (0 1 4), 34.13°, 2.627 Å, intensity 22; (1 0 -4), 35.55°, 2.526 Å, intensity 16; (0 1 -4), 35.38°, 2.537 Å, intensity 16; (2 -2 0), 58.19°, 1.585 Å, intensity 15; (2 2 -3), 52.00°, 1.759 Å, intensity 13

Structural model:
Cell: 5.153 5.154 12.088 Å, 86.96 86.52 75.95°
Element x y z (fractional)
Mg (0.000, 0.000, 0.000)
Fe (0.189, 0.183, 0.723)
Fe (0.239, 0.186, 0.484)
Fe (0.260, 0.260, 0.246)
Fe (0.350, 0.344, 0.012)
Fe (0.709, 0.697, 0.128)
Fe (0.769, 0.761, 0.858)
Fe (0.798, 0.805, 0.617)
Fe (0.826, 0.839, 0.358)
O (0.031, 0.030, 0.839)
O (0.051, 0.026, 0.600)
O (0.077, 0.057, 0.368)
O (0.145, 0.149, 0.116)
O (0.352, 0.342, 0.604)
O (0.386, 0.373, 0.372)
O (0.476, 0.472, 0.135)
O (0.549, 0.953, 0.740)
O (0.579, 0.925, 0.489)
O (0.581, 0.964, 0.240)
O (0.606, 0.988, 0.993)
O (0.959, 0.545, 0.736)
O (0.965, 0.577, 0.245)
O (0.996, 0.604, 0.992)
F (0.522, 0.512, 0.890)
F (0.934, 0.547, 0.489)

---

For MgFe12O12F12, a DFT-relaxed cell (GGA+U, the Materials Project) gives the theoretical X-ray diffraction stick pattern in this record (Cu Kα).
Lines closer than 0.1° are merged.

Largest 10 diffraction maxima, most intense first, 2θ = 10–90°:
(2 1 0), 34.10°, 2.629 Å, intensity 100; (2 0 3), 27.04°, 3.298 Å, intensity 74; (2 0 -3), 25.02°, 3.558 Å, intensity 65; (4 1 3), 52.45°, 1.745 Å, intensity 44; (0 1 9), 65.06°, 1.434 Å, intensity 28; (0 2 0), 58.98°, 1.566 Å, intensity 26; (4 1 -3), 50.18°, 1.818 Å, intensity 23; (2 0 -4), 29.64°, 3.014 Å, intensity 21; (2 1 -3), 38.28°, 2.351 Å, intensity 19; (2 1 3), 39.68°, 2.271 Å, intensity 15

Structural model:
Cell: 9.705 3.132 14.553 Å, 90.00 94.35 90.00°
Element x y z (fractional)
Mg (0.000, 0.000, 0.000)
Fe (0.011, 0.500, 0.767)
Fe (0.242, 0.000, 0.361)
Fe (0.293, 0.000, 0.682)
Fe (0.307, 0.000, 0.997)
Fe (0.469, 0.500, 0.185)
Fe (0.515, 0.500, 0.847)
Fe (0.516, 0.500, 0.539)
Fe (0.714, 0.000, 0.061)
Fe (0.750, 0.000, 0.363)
Fe (0.770, 0.000, 0.682)
Fe (0.951, 0.500, 0.206)
Fe (0.985, 0.500, 0.521)
O (0.191, 0.500, 0.735)
O (0.369, 0.500, 0.616)
O (0.382, 0.000, 0.124)
O (0.394, 0.500, 0.951)
O (0.441, 0.000, 0.787)
O (0.620, 0.000, 0.588)
O (0.629, 0.500, 0.104)
O (0.816, 0.500, 0.303)
O (0.885, 0.500, 0.641)
O (0.889, 0.000, 0.468)
O (0.897, 0.000, 0.115)
O (0.911, 0.000, 0.792)
F (0.085, 0.000, 0.261)
F (0.107, 0.000, 0.580)
F (0.137, 0.500, 0.428)
F (0.140, 0.000, 0.909)
F (0.143, 0.500, 0.050)
F (0.340, 0.500, 0.289)
F (0.410, 0.000, 0.457)
F (0.569, 0.000, 0.263)
F (0.635, 0.000, 0.928)
F (0.635, 0.500, 0.424)
F (0.675, 0.500, 0.755)
F (0.883, 0.500, 0.963)

---

For MgFe10O16F4, a DFT-relaxed cell (GGA+U, the Materials Project) gives the theoretical X-ray diffraction stick pattern in this record (Cu Kα).
Lines closer than 0.1° are merged.

Largest 10 diffraction maxima, most intense first, 2θ = 10–90°:
(1 1 -1), 26.22°, 3.399 Å, intensity 100; (1 -1 1), 26.45°, 3.369 Å, intensity 93; (0 2 3), 35.55°, 2.525 Å, intensity 52; (1 1 -6), 53.10°, 1.725 Å, intensity 30; (1 1 4), 34.93°, 2.569 Å, intensity 29; (-1 1 4), 35.18°, 2.551 Å, intensity 27; (0 2 8), 61.83°, 1.500 Å, intensity 18; (1 0 -5), 40.19°, 2.244 Å, intensity 18; (2 0 0), 36.63°, 2.453 Å, intensity 18; (1 3 2), 52.81°, 1.734 Å, intensity 16

Structural model:
Cell: 4.907 5.558 12.874 Å, 78.51 89.76 89.34°
Element x y z (fractional)
Mg (0.000, 0.000, 0.000)
Fe (0.011, 0.987, 0.510)
Fe (0.036, 0.461, 0.882)
Fe (0.042, 0.511, 0.128)
Fe (0.048, 0.785, 0.316)
Fe (0.486, 0.936, 0.893)
Fe (0.487, 0.103, 0.103)
Fe (0.523, 0.727, 0.699)
Fe (0.545, 0.287, 0.304)
Fe (0.553, 0.520, 0.498)
Fe (0.989, 0.204, 0.703)
O (0.159, 0.146, 0.847)
O (0.168, 0.310, 0.034)
O (0.197, 0.947, 0.644)
O (0.221, 0.743, 0.454)
O (0.223, 0.527, 0.255)
O (0.327, 0.034, 0.242)
O (0.342, 0.667, 0.840)
O (0.342, 0.824, 0.039)
O (0.661, 0.171, 0.959)
O (0.687, 0.985, 0.767)
O (0.702, 0.767, 0.566)
O (0.707, 0.335, 0.161)
O (0.725, 0.560, 0.359)
O (0.828, 0.489, 0.754)
O (0.841, 0.261, 0.561)
O (0.849, 0.049, 0.369)
F (0.338, 0.437, 0.647)
F (0.352, 0.240, 0.448)
F (0.849, 0.691, 0.964)
F (0.857, 0.848, 0.147)

---

For MgFe6O11F, a DFT-relaxed cell (GGA+U, the Materials Project) gives the theoretical X-ray diffraction stick pattern in this record (Cu Kα).
Lines closer than 0.1° are merged.

Largest 10 diffraction maxima, most intense first, 2θ = 10–90°:
(1 1 1), 23.54°, 3.779 Å, intensity 100; (-1 1 1), 27.30°, 3.267 Å, intensity 95; (0 2 -1), 35.94°, 2.499 Å, intensity 46; (2 0 0), 35.14°, 2.554 Å, intensity 27; (0 0 3), 36.74°, 2.446 Å, intensity 24; (1 3 0), 50.00°, 1.824 Å, intensity 22; (1 1 -2), 35.58°, 2.523 Å, intensity 22; (2 0 -3), 53.49°, 1.713 Å, intensity 21; (1 -3 0), 54.37°, 1.687 Å, intensity 21; (0 2 -4), 64.63°, 1.442 Å, intensity 20

Structural model:
Cell: 5.162 5.701 7.441 Å, 81.23 85.21 82.49°
Element x y z (fractional)
Mg (0.000, 0.000, 0.000)
Fe (0.046, 0.025, 0.513)
Fe (0.055, 0.395, 0.190)
Fe (0.482, 0.490, 0.495)
Fe (0.483, 0.168, 0.818)
Fe (0.496, 0.820, 0.175)
Fe (0.912, 0.613, 0.798)
O (0.131, 0.335, 0.931)
O (0.147, 0.694, 0.587)
O (0.169, 0.029, 0.254)
O (0.333, 0.204, 0.584)
O (0.353, 0.519, 0.263)
O (0.368, 0.870, 0.944)
O (0.627, 0.471, 0.725)
O (0.627, 0.771, 0.403)
O (0.842, 0.305, 0.409)
O (0.843, 0.680, 0.067)
O (0.843, 0.981, 0.748)
F (0.652, 0.151, 0.074)

---

For MgFe6O6F6, a DFT-relaxed cell (GGA+U, the Materials Project) gives the theoretical X-ray diffraction stick pattern in this record (Cu Kα).
Lines closer than 0.1° are merged.

Largest 10 diffraction maxima, most intense first, 2θ = 10–90°:
(1 0 -3), 24.73°, 3.600 Å, intensity 100; (1 0 3), 24.96°, 3.568 Å, intensity 86; (0 1 3), 34.57°, 2.594 Å, intensity 80; (1 1 0), 34.05°, 2.633 Å, intensity 41; (1 1 -3), 38.69°, 2.327 Å, intensity 32; (1 1 3), 38.85°, 2.318 Å, intensity 27; (0 1 9), 64.36°, 1.448 Å, intensity 26; (1 1 -6), 50.59°, 1.804 Å, intensity 24; (2 1 -3), 49.45°, 1.843 Å, intensity 24; (0 2 0), 60.72°, 1.525 Å, intensity 23

Structural model:
Cell: 5.213 3.051 14.804 Å, 90.00 90.51 90.00°
Element x y z (fractional)
Mg (0.000, 0.000, 0.000)
Fe (0.061, 0.500, 0.814)
Fe (0.100, 0.500, 0.503)
Fe (0.168, 0.500, 0.191)
Fe (0.474, 0.000, 0.987)
Fe (0.481, 0.000, 0.666)
Fe (0.662, 0.000, 0.313)
O (0.221, 0.500, 0.943)
O (0.231, 0.000, 0.752)
O (0.252, 0.000, 0.106)
O (0.369, 0.500, 0.588)
O (0.463, 0.500, 0.273)
O (0.957, 0.000, 0.241)
F (0.244, 0.000, 0.431)
F (0.718, 0.500, 0.716)
F (0.760, 0.500, 0.044)
F (0.776, 0.000, 0.891)
F (0.797, 0.500, 0.403)
F (0.898, 0.000, 0.555)

---

For MgFe8O14F2, a DFT-relaxed cell (GGA+U, the Materials Project) gives the theoretical X-ray diffraction stick pattern in this record (Cu Kα).
Lines closer than 0.1° are merged.

Largest 10 diffraction maxima, most intense first, 2θ = 10–90°:
(1 1 0), 26.04°, 3.422 Å, intensity 100; (1 -1 0), 26.22°, 3.399 Å, intensity 96; (1 0 4), 35.60°, 2.522 Å, intensity 50; (-1 2 4), 52.42°, 1.746 Å, intensity 49; (0 1 4), 35.47°, 2.531 Å, intensity 48; (1 2 4), 52.21°, 1.752 Å, intensity 36; (2 1 -4), 52.61°, 1.740 Å, intensity 24; (2 2 0), 53.56°, 1.711 Å, intensity 19; (0 3 4), 65.73°, 1.421 Å, intensity 18; (2 -2 0), 53.96°, 1.699 Å, intensity 18

Structural model:
Cell: 4.792 4.855 11.863 Å, 89.97 89.86 89.61°
Element x y z (fractional)
Mg (0.000, 0.000, 0.000)
Fe (0.001, 0.473, 0.752)
Fe (0.004, 0.476, 0.253)
Fe (0.497, 0.975, 0.380)
Fe (0.500, 0.960, 0.860)
Fe (0.501, 0.961, 0.141)
Fe (0.532, 0.009, 0.622)
Fe (0.950, 0.507, 0.001)
Fe (0.998, 0.475, 0.495)
O (0.150, 0.713, 0.117)
O (0.152, 0.713, 0.884)
O (0.190, 0.662, 0.380)
O (0.316, 0.171, 0.257)
O (0.318, 0.165, 0.502)
O (0.326, 0.186, 0.744)
O (0.653, 0.789, 0.000)
O (0.684, 0.774, 0.261)
O (0.689, 0.797, 0.502)
O (0.696, 0.783, 0.739)
O (0.812, 0.287, 0.379)
O (0.829, 0.298, 0.620)
O (0.832, 0.263, 0.118)
O (0.833, 0.265, 0.884)
F (0.197, 0.676, 0.623)
F (0.332, 0.213, 0.001)

---

For MgFe12O12F12, a DFT-relaxed cell (GGA+U, the Materials Project) gives the theoretical X-ray diffraction stick pattern in this record (Cu Kα).
Lines closer than 0.1° are merged.

Largest 10 diffraction maxima, most intense first, 2θ = 10–90°:
(2 0 3), 26.70°, 3.339 Å, intensity 100; (2 0 -3), 25.36°, 3.512 Å, intensity 78; (2 1 0), 34.46°, 2.602 Å, intensity 50; (0 1 3), 34.26°, 2.617 Å, intensity 44; (2 1 6), 52.04°, 1.757 Å, intensity 31; (4 1 3), 52.46°, 1.744 Å, intensity 27; (2 1 -6), 50.56°, 1.805 Å, intensity 23; (0 2 0), 59.67°, 1.550 Å, intensity 19; (4 1 -3), 50.96°, 1.792 Å, intensity 17; (4 0 6), 55.01°, 1.669 Å, intensity 16

Structural model:
Cell: 9.599 3.099 14.681 Å, 90.00 92.90 90.00°
Element x y z (fractional)
Mg (0.000, 0.000, 0.000)
Fe (0.086, 0.500, 0.268)
Fe (0.103, 0.500, 0.607)
Fe (0.165, 0.500, 0.903)
Fe (0.361, 0.000, 0.086)
Fe (0.370, 0.000, 0.439)
Fe (0.412, 0.000, 0.749)
Fe (0.586, 0.500, 0.294)
Fe (0.592, 0.500, 0.930)
Fe (0.611, 0.500, 0.591)
Fe (0.828, 0.000, 0.130)
Fe (0.851, 0.000, 0.791)
Fe (0.864, 0.000, 0.419)
O (0.018, 0.000, 0.868)
O (0.205, 0.000, 0.000)
O (0.435, 0.500, 0.373)
O (0.458, 0.500, 0.040)
O (0.492, 0.500, 0.694)
O (0.504, 0.000, 0.871)
O (0.522, 0.000, 0.532)
O (0.694, 0.000, 0.339)
O (0.756, 0.500, 0.843)
O (0.913, 0.500, 0.061)
O (0.959, 0.500, 0.372)
O (0.990, 0.000, 0.212)
F (0.198, 0.000, 0.335)
F (0.228, 0.000, 0.659)
F (0.246, 0.500, 0.171)
F (0.257, 0.500, 0.498)
F (0.288, 0.500, 0.797)
F (0.491, 0.000, 0.212)
F (0.694, 0.000, 0.011)
F (0.719, 0.500, 0.181)
F (0.727, 0.000, 0.659)
F (0.770, 0.500, 0.498)
F (0.950, 0.500, 0.710)
F (0.999, 0.000, 0.537)

---

For MgFe8O14F2, a DFT-relaxed cell (GGA+U, the Materials Project) gives the theoretical X-ray diffraction stick pattern in this record (Cu Kα).
Lines closer than 0.1° are merged.

Largest 10 diffraction maxima, most intense first, 2θ = 10–90°:
(1 0 -1), 24.85°, 3.583 Å, intensity 100; (1 2 1), 26.68°, 3.341 Å, intensity 96; (1 -2 1), 35.95°, 2.498 Å, intensity 38; (1 0 3), 35.53°, 2.527 Å, intensity 32; (2 0 2), 35.26°, 2.546 Å, intensity 26; (0 2 -2), 35.39°, 2.537 Å, intensity 25; (2 2 4), 53.17°, 1.723 Å, intensity 18; (2 4 2), 54.96°, 1.671 Å, intensity 17; (0 4 0), 53.84°, 1.703 Å, intensity 16; (2 -2 4), 62.97°, 1.476 Å, intensity 16

Structural model:
Cell: 5.818 7.282 7.654 Å, 85.67 68.91 69.54°
Element x y z (fractional)
Mg (0.000, 0.000, 0.000)
Fe (0.284, 0.735, 0.713)
Fe (0.288, 0.234, 0.702)
Fe (0.487, 0.491, 0.980)
Fe (0.545, 0.987, 0.953)
Fe (0.651, 0.292, 0.269)
Fe (0.670, 0.761, 0.267)
Fe (0.971, 0.499, 0.472)
Fe (0.972, 0.004, 0.500)
O (0.075, 0.232, 0.551)
O (0.165, 0.690, 0.970)
O (0.320, 0.450, 0.259)
O (0.329, 0.821, 0.470)
O (0.344, 0.974, 0.803)
O (0.410, 0.262, 0.906)
O (0.573, 0.732, 0.056)
O (0.614, 0.560, 0.704)
O (0.626, 0.180, 0.507)
O (0.639, 0.017, 0.170)
O (0.782, 0.492, 0.309)
O (0.808, 0.304, 0.998)
O (0.871, 0.777, 0.416)
O (0.912, 0.927, 0.769)
F (0.076, 0.066, 0.215)
F (0.152, 0.522, 0.659)

---

For MgFe12O12F12, a DFT-relaxed cell (GGA+U, the Materials Project) gives the theoretical X-ray diffraction stick pattern in this record (Cu Kα).
Lines closer than 0.1° are merged.

Largest 10 diffraction maxima, most intense first, 2θ = 10–90°:
(2 1 0), 33.92°, 2.643 Å, intensity 100; (2 0 3), 26.59°, 3.352 Å, intensity 99; (2 0 -3), 24.30°, 3.662 Å, intensity 74; (2 1 3), 39.37°, 2.289 Å, intensity 60; (0 1 3), 33.81°, 2.651 Å, intensity 54; (3 0 -3), 31.32°, 2.856 Å, intensity 47; (2 1 6), 51.66°, 1.769 Å, intensity 46; (0 0 3), 17.84°, 4.971 Å, intensity 37; (0 2 0), 58.95°, 1.567 Å, intensity 34; (1 1 -9), 63.48°, 1.465 Å, intensity 31

Structural model:
Cell: 9.878 3.134 14.973 Å, 90.00 95.06 90.00°
Element x y z (fractional)
Mg (0.000, 0.000, 0.000)
Fe (0.026, 0.000, 0.684)
Fe (0.035, 0.000, 0.476)
Fe (0.244, 0.500, 0.328)
Fe (0.268, 0.500, 0.644)
Fe (0.277, 0.500, 0.985)
Fe (0.500, 0.000, 0.473)
Fe (0.515, 0.000, 0.173)
Fe (0.528, 0.000, 0.831)
Fe (0.699, 0.500, 0.015)
Fe (0.718, 0.500, 0.341)
Fe (0.720, 0.500, 0.678)
Fe (0.960, 0.000, 0.226)
O (0.099, 0.500, 0.418)
O (0.122, 0.500, 0.729)
O (0.146, 0.000, 0.258)
O (0.164, 0.000, 0.588)
O (0.345, 0.000, 0.385)
O (0.599, 0.500, 0.119)
O (0.599, 0.500, 0.440)
O (0.608, 0.500, 0.768)
O (0.634, 0.000, 0.283)
O (0.643, 0.000, 0.954)
O (0.842, 0.000, 0.702)
O (0.876, 0.500, 0.263)
F (0.101, 0.500, 0.061)
F (0.155, 0.000, 0.925)
F (0.366, 0.000, 0.063)
F (0.366, 0.000, 0.708)
F (0.396, 0.500, 0.221)
F (0.401, 0.500, 0.550)
F (0.406, 0.500, 0.885)
F (0.623, 0.000, 0.598)
F (0.842, 0.000, 0.413)
F (0.874, 0.000, 0.098)
F (0.885, 0.500, 0.954)
F (0.945, 0.500, 0.558)